Record 1
Computed X-ray diffraction stick pattern of Dy5AgS8 for a wavelength of 1.5418 Å, from a GGA-PBE-relaxed structure.

Atomic structure:
```
Dy5AgS8
1.0
-4.1630 4.1630 4.1839
4.1630 -4.1630 4.1839
4.1630 4.1630 -4.1839
Dy Ag S
5 1 8
Direct
0.0000 0.0000 0.0000
0.2466 0.6285 0.1123
0.3715 0.4837 0.6180
0.5163 0.1343 0.8877
0.8657 0.7534 0.3820
0.7500 0.2500 0.5000
0.1226 0.2330 0.7517
0.1412 0.7553 0.7596
0.2447 0.0043 0.3859
0.4813 0.3710 0.2483
0.6184 0.8588 0.6141
0.6290 0.8774 0.1104
0.7670 0.5187 0.8896
0.9957 0.3816 0.2404
```

Top 10 peaks for 10° ≤ 2θ ≤ 90°, sorted by position:
Position (°2θ)	d_spacing	I_rel
26.2	3.405	100
33.9	2.645	26
34.0	2.634	61
40.4	2.231	34
40.5	2.226	18
48.9	1.863	23
51.4	1.778	23
56.2	1.637	15
69.6	1.351	21
85.7	1.133	16

=====

Record 2
Computed X-ray diffraction stick pattern of LiSbP2O7 for a wavelength of 1.5418 Å, from a GGA-PBE-relaxed structure.

Atomic structure:
```
LiSbP2O7
1.0
7.4601 0.0000 0.0000
0.0000 9.0454 0.0000
-4.2986 0.0000 8.2217
Li Sb P O
4 4 8 28
Direct
0.1830 0.0677 0.1094
0.1830 0.4323 0.6094
0.8170 0.5677 0.3906
0.8170 0.9323 0.8906
0.2828 0.0623 0.6467
0.2828 0.4377 0.1467
0.7172 0.5623 0.8533
0.7172 0.9377 0.3533
0.0575 0.7253 0.7445
0.0575 0.7747 0.2445
0.4815 0.7245 0.0423
0.4815 0.7755 0.5423
0.5185 0.2245 0.4577
0.5185 0.2755 0.9577
0.9425 0.2253 0.7555
0.9425 0.2747 0.2555
0.0318 0.6026 0.6270
0.0318 0.8974 0.1270
0.0941 0.6213 0.1942
0.0941 0.8787 0.6942
0.1138 0.2321 0.7035
0.1138 0.2679 0.2035
0.2528 0.6852 0.9190
0.2528 0.8148 0.4190
0.3993 0.2427 0.5547
0.3993 0.2573 0.0547
0.4556 0.0927 0.3400
0.4556 0.4073 0.8400
0.4816 0.6244 0.6247
0.4816 0.8756 0.1247
0.5184 0.1244 0.8753
0.5184 0.3756 0.3753
0.5444 0.5927 0.1600
0.5444 0.9073 0.6600
0.6007 0.7427 0.9453
0.6007 0.7573 0.4453
0.7472 0.1852 0.5810
0.7472 0.3148 0.0810
0.8862 0.7321 0.7965
0.8862 0.7679 0.2965
0.9059 0.1213 0.3058
0.9059 0.3787 0.8058
0.9682 0.1026 0.8730
0.9682 0.3974 0.3730
```

Top 10 peaks for 10° ≤ 2θ ≤ 90°, sorted by position:
Position (°2θ)	d_spacing	I_rel
14.6	6.084	86
16.1	5.518	42
22.4	3.963	39
23.0	3.865	70
25.9	3.441	40
27.5	3.249	54
27.8	3.213	100
30.5	2.934	61
33.6	2.669	32
39.5	2.279	35

=====

Record 3
Computed X-ray diffraction stick pattern of K3AuCl6 for a wavelength of 1.5418 Å, from a GGA-PBE-relaxed structure.

Atomic structure:
```
K3AuCl6
1.0
0.0000 5.4688 5.4688
5.4688 0.0000 5.4688
5.4688 5.4688 0.0000
K Au Cl
3 1 6
Direct
0.0000 0.0000 0.0000
0.2500 0.2500 0.2500
0.7500 0.7500 0.7500
0.5000 0.5000 0.5000
0.2705 0.2705 0.7295
0.2705 0.7295 0.2705
0.2705 0.7295 0.7295
0.7295 0.2705 0.2705
0.7295 0.2705 0.7295
0.7295 0.7295 0.2705
```

Top 10 peaks for 10° ≤ 2θ ≤ 90°, sorted by position:
Position (°2θ)	d_spacing	I_rel
14.0	6.315	100
16.2	5.469	90
23.0	3.867	94
27.0	3.298	42
32.8	2.734	85
36.7	2.446	44
40.4	2.233	41
43.0	2.105	29
47.0	1.934	55
49.3	1.849	26

=====

Record 4
Computed X-ray diffraction stick pattern of Pd3Au for a wavelength of 1.5418 Å, from a GGA-PBE-relaxed structure.

Atomic structure:
```
Pd3Au
1.0
4.0054 0.0000 0.0000
0.0000 4.0054 0.0000
0.0000 0.0000 4.0054
Pd Au
3 1
Direct
0.0000 0.0000 0.5000
0.0000 0.5000 0.0000
0.5000 0.0000 0.0000
0.5000 0.5000 0.5000
```

Top 10 peaks for 10° ≤ 2θ ≤ 90°, sorted by position:
Position (°2θ)	d_spacing	I_rel
22.2	4.005	9
31.6	2.832	8
38.9	2.313	100
45.3	2.003	49
51.0	1.791	4
56.3	1.635	3
66.0	1.416	31
70.5	1.335	2
79.3	1.208	37
83.6	1.156	11

=====

Record 5
Computed X-ray diffraction stick pattern of Mo3WSe4S4 for a wavelength of 1.5418 Å, from a GGA-PBE-relaxed structure.

Atomic structure:
```
Mo3WSe4S4
1.0
3.2565 0.0000 0.0000
-1.6282 2.8202 0.0000
0.0000 0.0000 36.8596
Mo W Se S
3 1 4 4
Direct
0.0000 0.0000 0.0000
0.0000 0.0000 0.3757
0.3333 0.6667 0.5636
0.3333 0.6667 0.1879
0.0000 0.0000 0.1415
0.0000 0.0000 0.2342
0.0000 0.0000 0.5176
0.0000 0.0000 0.6097
0.3333 0.6667 0.0419
0.3333 0.6667 0.3339
0.3333 0.6667 0.4176
0.3333 0.6667 0.9581
```

Top 10 peaks for 10° ≤ 2θ ≤ 90°, sorted by position:
Position (°2θ)	d_spacing	I_rel
12.0	7.372	100
14.4	6.143	22
31.7	2.818	33
34.0	2.634	13
37.4	2.405	64
45.4	2.000	40
47.2	1.925	15
56.5	1.628	23
69.7	1.348	10
80.5	1.194	11

=====

Record 6
Computed X-ray diffraction stick pattern of U for a wavelength of 1.5418 Å, from a GGA-PBE-relaxed structure.

Atomic structure:
```
U
1.0
2.6650 0.0000 0.0000
0.0000 2.6650 0.0000
0.0000 0.0000 2.6808
U
1
Direct
0.0000 0.0000 0.0000
```

Top 10 peaks for 10° ≤ 2θ ≤ 90°, sorted by position:
Position (°2θ)	d_spacing	I_rel
33.4	2.681	51
33.6	2.665	100
48.1	1.890	75
48.3	1.884	37
60.0	1.542	40
70.7	1.333	13
80.1	1.197	18
80.5	1.193	18
80.6	1.192	18
89.8	1.092	15

=====

Record 7
Computed X-ray diffraction stick pattern of Y2Re2Si2C for a wavelength of 1.5418 Å, from a GGA-PBE-relaxed structure.

Atomic structure:
```
Y2Re2Si2C
1.0
5.4746 -2.0039 0.0000
5.4746 2.0039 0.0000
-4.2325 0.0000 5.5120
Y Re Si C
2 2 2 1
Direct
0.0726 0.0726 0.3004
0.9274 0.9274 0.6996
0.2927 0.2927 0.9075
0.7073 0.7073 0.0925
0.3576 0.3576 0.3174
0.6424 0.6424 0.6826
0.5000 0.5000 0.0000
```

Top 10 peaks for 10° ≤ 2θ ≤ 90°, sorted by position:
Position (°2θ)	d_spacing	I_rel
16.1	5.512	60
20.5	4.342	26
25.7	3.471	32
33.1	2.703	42
33.3	2.690	97
35.5	2.530	100
38.4	2.347	30
40.7	2.219	31
45.2	2.004	35
57.2	1.610	18

=====

Record 8
Computed X-ray diffraction stick pattern of Tb2Al5Ge2 for a wavelength of 1.5418 Å, from a GGA-PBE-relaxed structure.

Atomic structure:
```
Tb2Al5Ge2
1.0
2.8817 -7.7354 0.0000
2.8817 7.7354 0.0000
0.0000 0.0000 8.0384
Tb Al Ge
4 10 4
Direct
0.1175 0.8825 0.9190
0.3825 0.6175 0.4190
0.6175 0.3825 0.5810
0.8825 0.1175 0.0810
0.0000 0.0000 0.5000
0.0337 0.4663 0.7500
0.2027 0.2973 0.7500
0.2973 0.2027 0.2500
0.4663 0.0337 0.2500
0.5000 0.5000 0.0000
0.5337 0.9663 0.7500
0.7027 0.7973 0.7500
0.7973 0.7027 0.2500
0.9663 0.5337 0.2500
0.1816 0.8184 0.5483
0.3184 0.6816 0.0483
0.6816 0.3184 0.9517
0.8184 0.1816 0.4517
```

Top 10 peaks for 10° ≤ 2θ ≤ 90°, sorted by position:
Position (°2θ)	d_spacing	I_rel
15.9	5.574	39
19.8	4.483	36
31.0	2.882	34
32.2	2.778	47
34.7	2.582	100
35.1	2.560	38
35.5	2.532	67
38.4	2.342	47
39.0	2.311	32
47.8	1.902	34

=====

Record 9
Computed X-ray diffraction stick pattern of Ba3InB3O9 for a wavelength of 1.5418 Å, from a GGA-PBE-relaxed structure.

Atomic structure:
```
Ba3InB3O9
1.0
6.4795 3.7409 3.1638
-6.4795 3.7409 3.1638
0.0000 -7.4819 3.1638
Ba In B O
6 2 6 18
Direct
0.1650 0.2627 0.6561
0.2627 0.6561 0.1650
0.3439 0.8350 0.7373
0.6561 0.1650 0.2627
0.7373 0.3439 0.8350
0.8350 0.7373 0.3439
0.0000 0.0000 0.0000
0.5000 0.5000 0.5000
0.0496 0.3650 0.2920
0.2920 0.0496 0.3650
0.3650 0.2920 0.0496
0.6350 0.7080 0.9504
0.7080 0.9504 0.6350
0.9504 0.6350 0.7080
0.0017 0.8230 0.7365
0.0717 0.5700 0.8007
0.1770 0.2635 0.9983
0.1993 0.9283 0.4300
0.2178 0.4923 0.4315
0.2635 0.9983 0.1770
0.4300 0.1993 0.9283
0.4315 0.2178 0.4923
0.4923 0.4315 0.2178
0.5077 0.5685 0.7822
0.5685 0.7822 0.5077
0.5700 0.8007 0.0717
0.7365 0.0017 0.8230
0.7822 0.5077 0.5685
0.8007 0.0716 0.5700
0.8230 0.7365 0.0017
0.9283 0.4300 0.1993
0.9983 0.1770 0.2635
```

Top 10 peaks for 10° ≤ 2θ ≤ 90°, sorted by position:
Position (°2θ)	d_spacing	I_rel
23.0	3.873	37
27.5	3.240	32
28.2	3.163	100
30.2	2.958	32
34.5	2.603	28
39.8	2.263	18
43.7	2.071	22
46.9	1.937	24
49.1	1.855	20
50.8	1.798	20